The following is a computed powder XRD pattern of K2TlWF6. It was derived from a PBE+U-relaxed structure, using Cu Ka.

Most intense lines, 2θ from 10° to 80°, by angle:
- 5.926 Å, rel. 100
- 3.229 Å, rel. 84
- 3.116 Å, rel. 22
- 2.836 Å, rel. 81
- 2.500 Å, rel. 21
- 2.183 Å, rel. 55
- 1.779 Å, rel. 21
- 1.685 Å, rel. 21
- 1.615 Å, rel. 19
- 1.578 Å, rel. 20

Structure:
Unit cell a=12.425 b=12.425 c=12.425 alpha=30.13 beta=30.13 gamma=30.13
Fractional positions:
K 0.140 0.140 0.140
K 0.244 0.244 0.244
K 0.756 0.756 0.756
K 0.860 0.860 0.860
Tl 0.338 0.338 0.338
Tl 0.662 0.662 0.662
W 0.000 0.000 0.000
W 0.500 0.500 0.500
F 0.143 0.633 0.633
F 0.184 0.184 0.749
F 0.184 0.749 0.184
F 0.251 0.816 0.816
F 0.367 0.367 0.857
F 0.367 0.857 0.367
F 0.633 0.143 0.633
F 0.633 0.633 0.143
F 0.749 0.184 0.184
F 0.816 0.251 0.816
F 0.816 0.816 0.251
F 0.857 0.367 0.367